Record 1
Diffraction record for KErO2. The powder X-ray diffraction pattern is calculated, not measured: it uses a GGA-PBE-relaxed structure and a wavelength of 1.5418 Å.
No peak broadening, texture or thermal motion is included.

Principal peaks in the range 2θ from 10° to 80°, most intense first:
| d_spacing | intensity |
| --- | --- |
| 6.252 | 100 |
| 2.518 | 94 |
| 2.844 | 72 |
| 2.947 | 37 |
| 3.126 | 35 |
| 1.844 | 32 |
| 1.723 | 29 |
| 1.509 | 24 |

Crystal structure
Lattice parameters (Å, degrees): 3.4460 3.4460 18.7552 90.00 90.00 120.00
Space group R-3m (No. 166, hexagonal axes)
Symmetry-distinct sites (fractional):
K (0.0000, 0.0000, 0.0000) (multiplicity 3)
Er (0.0000, 0.0000, 0.5000) (multiplicity 3)
O (0.0000, 0.0000, 0.2279) (multiplicity 6)



Record 2
Diffraction record for Ba14In4Cu2N7. The powder X-ray diffraction pattern is calculated, not measured: it uses a GGA-PBE-relaxed structure and a wavelength of 1.5418 Å.
No peak broadening, texture or thermal motion is included.

Principal peaks in the range 2θ from 10° to 80°, most intense first:
| d_spacing | intensity |
| --- | --- |
| 2.961 | 100 |
| 3.094 | 92 |
| 3.183 | 48 |
| 3.167 | 40 |
| 1.720 | 26 |
| 2.046 | 18 |
| 2.362 | 14 |
| 2.144 | 14 |

Crystal structure
Lattice parameters (Å, degrees): 9.450 8.186 21.929 90.00 102.15 90.00
Space group P2/m (No. 10)
Symmetry-distinct sites (fractional):
Ba (0.000, 0.000, 0.000) (multiplicity 1)
Ba (0.000, 0.248, 0.500) (multiplicity 2)
Ba (0.000, 0.500, 0.000) (multiplicity 1)
Ba (0.075, 0.248, 0.691) (multiplicity 4)
Ba (0.111, 0.500, 0.193) (multiplicity 2)
Ba (0.247, 0.500, 0.412) (multiplicity 2)
Ba (0.248, 0.000, 0.416) (multiplicity 2)
Ba (0.252, 0.249, 0.893) (multiplicity 4)
Ba (0.328, 0.000, 0.593) (multiplicity 2)
Ba (0.331, 0.500, 0.591) (multiplicity 2)
Ba (0.341, 0.234, 0.085) (multiplicity 4)
Ba (0.415, 0.500, 0.789) (multiplicity 2)
In (0.142, 0.000, 0.192) (multiplicity 2)
In (0.364, 0.201, 0.281) (multiplicity 4)
In (0.438, 0.000, 0.782) (multiplicity 2)
Cu (0.500, 0.000, 0.000) (multiplicity 1)
Cu (0.500, 0.256, 0.500) (multiplicity 2)
Cu (0.500, 0.500, 0.000) (multiplicity 1)
N (0.046, 0.000, 0.602) (multiplicity 2)
N (0.053, 0.500, 0.614) (multiplicity 2)
N (0.145, 0.500, 0.799) (multiplicity 2)
N (0.297, 0.000, 0.994) (multiplicity 2)
N (0.303, 0.257, 0.503) (multiplicity 4)
N (0.472, 0.500, 0.913) (multiplicity 2)



Record 3
Diffraction record for Zr3PbO4F6. The powder X-ray diffraction pattern is calculated, not measured: it uses a GGA-PBE-relaxed structure and a wavelength of 1.5418 Å.
No peak broadening, texture or thermal motion is included.

Principal peaks in the range 2θ from 10° to 80°, most intense first:
| d_spacing | intensity |
| --- | --- |
| 3.201 | 100 |
| 1.672 | 48 |
| 1.960 | 43 |
| 2.772 | 41 |
| 2.480 | 21 |
| 1.272 | 14 |
| 2.134 | 12 |
| 5.544 | 11 |

Crystal structure
Lattice parameters (Å, degrees): 11.089 11.089 11.089 90.00 90.00 90.00
Space group Fm-3m (No. 225)
Symmetry-distinct sites (fractional):
Zr (0.000, 0.000, 0.223) (multiplicity 24)
Pb (0.250, 0.250, 0.250) (multiplicity 8)
O (0.116, 0.116, 0.116) (multiplicity 32)
F (0.000, 0.164, 0.336) (multiplicity 48)



Record 4
Diffraction record for Na2Al2Si3H4O12. The powder X-ray diffraction pattern is calculated, not measured: it uses a GGA-PBE-relaxed structure and a wavelength of 1.5418 Å.
No peak broadening, texture or thermal motion is included.

Principal peaks in the range 2θ from 10° to 80°, most intense first:
| d_spacing | intensity |
| --- | --- |
| 4.885 | 100 |
| 5.214 | 88 |
| 7.903 | 83 |
| 4.384 | 81 |
| 3.442 | 80 |
| 5.128 | 74 |
| 7.018 | 70 |
| 5.376 | 70 |

Crystal structure
Lattice parameters (Å, degrees): 8.178 8.433 9.207 106.16 101.44 95.83
Space group P1 (No. 1)
Symmetry-distinct sites (fractional):
Na (0.000, 0.000, 0.000) (multiplicity 1)
Na (0.024, 0.426, 0.512) (multiplicity 1)
Na (0.242, 0.631, 0.883) (multiplicity 1)
Na (0.600, 0.895, 0.802) (multiplicity 1)
Al (0.070, 0.816, 0.630) (multiplicity 1)
Al (0.630, 0.255, 0.458) (multiplicity 1)
Al (0.860, 0.544, 0.781) (multiplicity 1)
Al (0.868, 0.121, 0.641) (multiplicity 1)
Si (0.341, 0.626, 0.443) (multiplicity 1)
Si (0.426, 0.169, 0.065) (multiplicity 1)
Si (0.434, 0.429, 0.566) (multiplicity 1)
Si (0.665, 0.849, 0.441) (multiplicity 1)
Si (0.723, 0.401, 0.198) (multiplicity 1)
Si (0.934, 0.680, 0.112) (multiplicity 1)
H (0.090, 0.886, 0.347) (multiplicity 1)
H (0.219, 0.324, 0.123) (multiplicity 1)
H (0.225, 0.286, 0.653) (multiplicity 1)
H (0.347, 0.093, 0.264) (multiplicity 1)
H (0.393, 0.513, 0.206) (multiplicity 1)
H (0.576, 0.563, 0.683) (multiplicity 1)
H (0.640, 0.757, 0.275) (multiplicity 1)
H (0.820, 0.183, 0.895) (multiplicity 1)
O (0.072, 0.143, 0.595) (multiplicity 1)
O (0.072, 0.841, 0.230) (multiplicity 1)
O (0.146, 0.986, 0.549) (multiplicity 1)
O (0.175, 0.682, 0.499) (multiplicity 1)
O (0.198, 0.898, 0.843) (multiplicity 1)
O (0.225, 0.209, 0.063) (multiplicity 1)
O (0.296, 0.402, 0.676) (multiplicity 1)
O (0.299, 0.560, 0.249) (multiplicity 1)
O (0.370, 0.009, 0.891) (multiplicity 1)
O (0.456, 0.119, 0.241) (multiplicity 1)
O (0.506, 0.784, 0.507) (multiplicity 1)
O (0.519, 0.377, 0.115) (multiplicity 1)
O (0.630, 0.105, 0.043) (multiplicity 1)
O (0.675, 0.054, 0.470) (multiplicity 1)
O (0.696, 0.656, 0.860) (multiplicity 1)
O (0.746, 0.375, 0.367) (multiplicity 1)
O (0.781, 0.239, 0.078) (multiplicity 1)
O (0.799, 0.782, 0.026) (multiplicity 1)
O (0.812, 0.331, 0.652) (multiplicity 1)
O (0.834, 0.087, 0.812) (multiplicity 1)
O (0.844, 0.568, 0.205) (multiplicity 1)
O (0.850, 0.865, 0.556) (multiplicity 1)
O (0.982, 0.653, 0.697) (multiplicity 1)
O (0.995, 0.558, 0.969) (multiplicity 1)



Record 5
Diffraction record for Bi6Se3Br2O14. The powder X-ray diffraction pattern is calculated, not measured: it uses a GGA-PBE-relaxed structure and a wavelength of 1.5418 Å.
No peak broadening, texture or thermal motion is included.

Principal peaks in the range 2θ from 10° to 80°, most intense first:
| d_spacing | intensity |
| --- | --- |
| 3.292 | 100 |
| 3.299 | 94 |
| 2.939 | 70 |
| 2.873 | 63 |
| 3.043 | 59 |
| 2.912 | 51 |
| 2.015 | 31 |
| 2.433 | 27 |

Crystal structure
Lattice parameters (Å, degrees): 7.238 11.271 12.365 66.91 81.84 77.98
Space group P-1 (No. 2)
Symmetry-distinct sites (fractional):
Bi (0.040, 0.136, 0.362) (multiplicity 2)
Bi (0.183, 0.746, 0.387) (multiplicity 2)
Bi (0.211, 0.793, 0.932) (multiplicity 2)
Bi (0.304, 0.421, 0.007) (multiplicity 2)
Bi (0.363, 0.040, 0.620) (multiplicity 2)
Bi (0.434, 0.688, 0.673) (multiplicity 2)
Se (0.033, 0.514, 0.205) (multiplicity 2)
Se (0.260, 0.391, 0.568) (multiplicity 2)
Se (0.315, 0.052, 0.135) (multiplicity 2)
Br (0.096, 0.111, 0.842) (multiplicity 2)
Br (0.443, 0.690, 0.165) (multiplicity 2)
O (0.075, 0.594, 0.051) (multiplicity 2)
O (0.087, 0.045, 0.560) (multiplicity 2)
O (0.119, 0.174, 0.118) (multiplicity 2)
O (0.132, 0.290, 0.544) (multiplicity 2)
O (0.160, 0.550, 0.802) (multiplicity 2)
O (0.190, 0.748, 0.562) (multiplicity 2)
O (0.217, 0.384, 0.220) (multiplicity 2)
O (0.234, 0.831, 0.739) (multiplicity 2)
O (0.242, 0.522, 0.435) (multiplicity 2)
O (0.291, 0.964, 0.288) (multiplicity 2)
O (0.412, 0.612, 0.920) (multiplicity 2)
O (0.459, 0.125, 0.426) (multiplicity 2)
O (0.482, 0.142, 0.135) (multiplicity 2)
O (0.483, 0.307, 0.546) (multiplicity 2)